Record 1
For Ta3Ni8Pd2, a structure optimized by DFT (GGA-PBE) gives the theoretical powder XRD pattern in this record (Cu Kα).
Neutral-atom scattering factors, no anomalous dispersion.

Peak list (12 most intense, 10 to 90 degrees two-theta, low angle first)
Position (°2θ)  intensity
27.11  53
38.49  74
41.74  100
43.22  61
45.22  31
46.66  13
47.61  17
47.71  35
69.62  13
71.84  39
72.89  13
82.47  22

Structural model:
```
Ta3Ni8Pd2
1.0
2.3391 1.3505 9.3856
-2.3391 1.3505 9.3856
0.0000 -2.7010 9.3856
Ta Ni Pd
3 8 2
Direct
0.0000 0.0000 0.0000
0.1864 0.1864 0.1864
0.8136 0.8136 0.8136
0.2296 0.7303 0.7303
0.2697 0.2697 0.7704
0.2697 0.7704 0.2697
0.2727 0.2727 0.2727
0.7273 0.7273 0.7273
0.7303 0.2296 0.7303
0.7303 0.7303 0.2296
0.7704 0.2697 0.2697
0.3594 0.3594 0.3594
0.6406 0.6406 0.6406
```

Record 2
For LiNi3Ge2, a structure optimized by DFT (GGA-PBE) gives the theoretical powder XRD pattern in this record (Cu Kα).
Neutral-atom scattering factors, no anomalous dispersion.

Peak list (12 most intense, 10 to 90 degrees two-theta, low angle first)
Position (°2θ)  intensity
20.10  60
21.23  34
23.90  39
27.88  26
41.12  87
44.01  20
45.28  100
47.30  67
48.21  26
50.39  32
51.48  20
52.17  19

Structural model:
```
LiNi3Ge2
1.0
8.3387 -1.9218 0.0000
8.3387 1.9218 0.0000
-3.7062 0.0000 7.5257
Li Ni Ge
3 9 6
Direct
0.0000 0.0000 0.0000
0.1316 0.1316 0.7153
0.8684 0.8684 0.2847
0.0421 0.0421 0.3435
0.2024 0.2024 0.4095
0.3029 0.3029 0.0208
0.3909 0.3909 0.8309
0.5000 0.5000 0.5000
0.6091 0.6091 0.1691
0.6971 0.6971 0.9792
0.7976 0.7976 0.5905
0.9579 0.9579 0.6565
0.1951 0.1951 0.1321
0.3594 0.3594 0.5158
0.4598 0.4598 0.1766
0.5402 0.5402 0.8234
0.6406 0.6406 0.4842
0.8049 0.8049 0.8679
```

Record 3
For KIn3Ir, a structure optimized by DFT (GGA-PBE) gives the theoretical powder XRD pattern in this record (Cu Kα).
Neutral-atom scattering factors, no anomalous dispersion.

Peak list (12 most intense, 10 to 90 degrees two-theta, low angle first)
Position (°2θ)  intensity
13.17  93
17.07  56
25.06  49
27.37  23
34.22  100
34.54  49
37.11  16
38.48  30
43.19  49
49.41  71
54.61  18
56.47  23

Structural model:
```
KIn3Ir
1.0
8.3707 0.0000 0.0000
0.0000 6.7211 0.0000
0.0000 0.0000 5.1938
K In Ir
2 6 2
Direct
0.2500 0.0000 0.0011
0.7500 0.0000 0.9989
0.0000 0.2447 0.5000
0.0000 0.7553 0.5000
0.2500 0.5000 0.9978
0.5000 0.2447 0.5000
0.5000 0.7553 0.5000
0.7500 0.5000 0.0022
0.2500 0.5000 0.4978
0.7500 0.5000 0.5022
```

Record 4
For TbCdP2O8, a structure optimized by DFT (GGA-PBE) gives the theoretical powder XRD pattern in this record (Cu Kα).
Neutral-atom scattering factors, no anomalous dispersion.

Peak list (12 most intense, 10 to 90 degrees two-theta, low angle first)
Position (°2θ)  intensity
12.55  14
19.51  100
23.27  16
32.11  75
34.14  50
42.93  39
47.57  37
53.27  15
55.92  16
59.84  24
67.18  16
77.54  15

Structural model:
```
TbCdP2O8
1.0
5.2532 0.0000 0.0000
-2.6266 4.5494 0.0000
0.0000 0.0000 7.0542
Tb Cd P O
1 1 2 8
Direct
0.0000 0.0000 0.0000
0.0000 0.0000 0.5000
0.3333 0.6667 0.8052
0.6667 0.3333 0.1948
0.1712 0.3423 0.7387
0.1712 0.8288 0.7387
0.3333 0.6667 0.0241
0.3423 0.1712 0.2613
0.6577 0.8288 0.7387
0.6667 0.3333 0.9759
0.8288 0.1712 0.2613
0.8288 0.6577 0.2613
```